This entry pairs a crystal structure of SmAu12 with its computed X-ray powder pattern. Radiation: a wavelength of 1.5418 Å. Structure: a crystal structure in Alexandria, relaxed with GGA-PBE.
No peak broadening, texture or thermal motion is included.

Main lines, in order of rising 2θ (10 to 90 degrees two-theta):
| d/Å | I (rel.) | hkl |
| --- | --- | --- |
| 6.584 | 42.0 | 1 1 1 |
| 4.032 | 28.3 | 2 2 0 |
| 3.438 | 94.3 | 3 1 1 |
| 3.292 | 35.9 | 2 2 2 |
| 2.328 | 34.5 | 4 2 2 |
| 2.195 | 100.0 | 3 3 3 |
| 1.928 | 42.6 | 5 3 1 |
| 1.901 | 70.1 | 6 0 0 |
| 1.344 | 44.7 | 6 6 0 |
| 1.146 | 36.7 | 9 3 3 |

Cell lengths 11.4040, 11.4040, 11.4040 Å; angles 90.00, 90.00, 90.00 degrees
Space group Fm-3m (No. 225)
Inequivalent atoms, fractional coordinates:
Sm 0.0000 0.0000 0.0000
Au 0.0000 0.1697 0.3303